Starting from DFT lattice parameters and positions (PBE+U), the XRD peak list of LiMgCr3Se2S4O24 was simulated for copper Kα.
Lines closer than 0.1° are merged.

Peak list (10 most intense, 15° ≤ 2θ ≤ 90°, in order of falling intensity)
two_theta  Rel. int.  h k l
23.97  100  1 -1 1
24.24  90  1 2 2
24.11  89  2 1 0
31.59  54  2 1 -1
28.97  40  0 2 2
23.41  32  0 0 2
31.82  32  1 2 3
19.87  30  1 1 2
29.07  29  2 2 0
19.68  28  0 1 -1

Crystal structure
```
data_LiMgCr3Se2S4O24
_chemical_formula_sum 'Li1 Mg1 Cr3 Se2 S4 O24'
_space_group_name_H-M_alt 'P 1'
_space_group_IT_number 1
_cell_length_a 8.4105
_cell_length_b 8.4202
_cell_length_c 8.9828
_cell_angle_alpha 62.55
_cell_angle_beta 62.71
_cell_angle_gamma 60.75
loop_
_space_group_symop_operation_xyz
'x,y,z'
loop_
_atom_site_label
_atom_site_fract_x
_atom_site_fract_y
_atom_site_fract_z
Li1 0.0000 0.0000 0.0000
Mg1 0.2676 0.6049 0.0800
Cr1 0.0649 0.4083 0.7066
Cr2 0.5722 0.9113 0.1856
Cr3 0.7674 0.1078 0.5775
Se1 0.1639 0.2199 0.3878
Se2 0.4584 0.5073 0.3934
S1 0.3754 0.0173 0.8921
S2 0.6753 0.2925 0.8854
S3 0.8748 0.8004 0.3864
S4 0.9388 0.7206 0.8963
O1 0.0232 0.5262 0.8811
O2 0.0330 0.1002 0.4229
O3 0.0453 0.8078 0.2284
O4 0.0727 0.7570 0.9313
O5 0.1103 0.4286 0.2373
O6 0.1259 0.2323 0.5838
O7 0.1751 0.1523 0.8831
O8 0.3036 0.4626 0.5959
O9 0.3806 0.8235 0.9416
O10 0.3956 0.0847 0.3332
O11 0.4054 0.0475 0.0270
O12 0.4203 0.4680 0.2517
O13 0.4256 0.7366 0.3443
O14 0.4783 0.4166 0.9390
O15 0.5130 0.0671 0.7178
O16 0.6798 0.3644 0.4052
O17 0.7187 0.0981 0.0257
O18 0.7194 0.2636 0.7186
O19 0.7339 0.7742 0.3513
O20 0.7567 0.7308 0.0448
O21 0.7830 0.9863 0.4225
O22 0.8101 0.3725 0.8648
O23 0.9006 0.8612 0.7301
O24 0.9266 0.6409 0.5402
```